# 1
Computed X-ray powder pattern of TiZnTe for copper Kα, from a DFT-relaxed cell (PBE, Alexandria).

Atomic structure:
Unit cell a=5.881 b=3.426 c=6.275 alpha=90.00 beta=90.00 gamma=90.00
Positions (direct):
Ti (0.000, 0.000, 0.000)
Ti (0.500, 0.000, 0.000)
Zn (0.250, 0.500, 0.276)
Zn (0.750, 0.500, 0.724)
Te (0.250, 0.500, 0.722)
Te (0.750, 0.500, 0.278)

Top 6 peaks for 15 to 90 degrees two-theta, low angle first:
2theta  d (Å)  Rel. int.
26.01  3.426  59
28.45  3.138  40
30.40  2.941  40
38.92  2.314  100
40.42  2.231  99
42.11  2.146  80

***

# 2
Computed X-ray powder pattern of PaNi4As for copper Kα, from a DFT-relaxed cell (PBE, Alexandria).

Atomic structure:
Unit cell a=7.004 b=3.746 c=6.580 alpha=90.00 beta=90.00 gamma=90.00
Positions (direct):
Pa (0.250, 0.000, 0.151)
Pa (0.750, 0.000, 0.849)
Ni (0.000, 0.000, 0.500)
Ni (0.032, 0.500, 0.808)
Ni (0.250, 0.500, 0.461)
Ni (0.468, 0.500, 0.808)
Ni (0.500, 0.000, 0.500)
Ni (0.532, 0.500, 0.192)
Ni (0.750, 0.500, 0.539)
Ni (0.968, 0.500, 0.192)
As (0.250, 0.000, 0.724)
As (0.750, 0.000, 0.276)

Top 6 peaks for 15 to 90 degrees two-theta, low angle first:
2theta  d (Å)  Rel. int.
30.01  2.978  39
35.08  2.558  62
37.73  2.384  100
38.63  2.331  91
44.88  2.019  91
48.61  1.873  45

***

# 3
Computed X-ray powder pattern of LiTlAsBr2 for copper Kα, from a DFT-relaxed cell (PBE, Alexandria).

Atomic structure:
Unit cell a=4.040 b=4.437 c=8.388 alpha=95.65 beta=99.23 gamma=90.98
Positions (direct):
Li (0.000, 0.000, 0.000)
Tl (0.000, 0.500, 0.500)
As (0.500, 0.000, 0.500)
Br (0.468, 0.178, 0.818)
Br (0.532, 0.822, 0.182)

Top 6 peaks for 15 to 90 degrees two-theta, low angle first:
2theta  d (Å)  Rel. int.
23.83  3.733  100
30.62  2.920  81
30.73  2.910  85
32.22  2.779  92
32.62  2.745  98
41.24  2.189  78

***

# 4
Computed X-ray powder pattern of Ni2PtRh3 for copper Kα, from a DFT-relaxed cell (PBE, Alexandria).

Atomic structure:
Unit cell a=6.016 b=6.016 c=8.390 alpha=115.15 beta=115.15 gamma=36.73
Positions (direct):
Ni (0.043, 0.043, 0.375)
Ni (0.291, 0.291, 0.623)
Ni (0.709, 0.709, 0.377)
Ni (0.957, 0.957, 0.625)
Pt (0.374, 0.374, 0.384)
Pt (0.626, 0.626, 0.616)
Rh (0.124, 0.124, 0.128)
Rh (0.209, 0.209, 0.875)
Rh (0.461, 0.461, 0.129)
Rh (0.539, 0.539, 0.871)
Rh (0.791, 0.791, 0.125)
Rh (0.876, 0.876, 0.872)

Top 6 peaks for 15 to 90 degrees two-theta, low angle first:
2theta  d (Å)  Rel. int.
41.25  2.189  100
41.44  2.179  98
47.79  1.903  32
48.00  1.895  32
48.54  1.875  30
70.69  1.333  29

***

# 5
Computed X-ray powder pattern of K3In2Sb4Pb2 for copper Kα, from a DFT-relaxed cell (PBE, Alexandria).

Atomic structure:
Unit cell a=5.084 b=5.084 c=17.834 alpha=90.00 beta=90.00 gamma=120.00
Positions (direct):
K (0.000, 0.000, 0.000)
K (0.000, 0.000, 0.275)
K (0.000, 0.000, 0.725)
In (0.333, 0.667, 0.178)
In (0.667, 0.333, 0.822)
Sb (0.333, 0.667, 0.369)
Sb (0.333, 0.667, 0.867)
Sb (0.667, 0.333, 0.133)
Sb (0.667, 0.333, 0.631)
Pb (0.333, 0.667, 0.563)
Pb (0.667, 0.333, 0.437)

Top 6 peaks for 15 to 90 degrees two-theta, low angle first:
2theta  d (Å)  Rel. int.
20.17  4.403  47
25.17  3.538  60
28.49  3.133  42
32.30  2.771  36
35.30  2.542  100
36.47  2.463  60

***

# 6
Computed X-ray powder pattern of LaCeCo for copper Kα, from a DFT-relaxed cell (PBE, Alexandria).

Atomic structure:
Unit cell a=4.878 b=4.878 c=6.280 alpha=90.00 beta=90.00 gamma=90.00
Positions (direct):
La (0.250, 0.250, 0.108)
La (0.750, 0.750, 0.892)
Ce (0.250, 0.750, 0.500)
Ce (0.750, 0.250, 0.500)
Co (0.250, 0.250, 0.663)
Co (0.750, 0.750, 0.337)

Top 6 peaks for 15 to 90 degrees two-theta, low angle first:
2theta  d (Å)  Rel. int.
29.54  3.023  100
33.95  2.640  54
36.85  2.439  70
50.99  1.791  43
53.10  1.725  24
61.94  1.498  25